[1]
For ZnH6C2S2O6, DFT lattice parameters and positions (GGA-PBE) gives the theoretical X-ray diffraction stick pattern in this record (Cu Kα X-rays).
Intensities are scaled so that the largest is 100.

The 10 most intense peaks (10 to 80 degrees two-theta), sorted by position:
| d [Å] | I/Imax |
| --- | --- |
| 6.249 | 66 |
| 6.163 | 100 |
| 4.590 | 78 |
| 4.278 | 13 |
| 3.784 | 30 |
| 3.708 | 28 |
| 2.889 | 15 |
| 2.863 | 22 |
| 2.695 | 14 |
| 2.622 | 31 |

Structure:
```
ZnH6C2S2O6
1.0
4.212 -5.539 0.000
4.212 5.539 0.000
-4.007 0.000 8.197
Zn H C S O
2 12 4 4 12
Direct
0.145 0.855 0.500 Zn
0.855 0.145 0.000 Zn
0.004 0.533 0.738 H
0.093 0.164 0.729 H
0.096 0.771 0.917 H
0.164 0.093 0.229 H
0.341 0.931 0.820 H
0.378 0.469 0.650 H
0.398 0.474 0.851 H
0.469 0.378 0.150 H
0.474 0.398 0.351 H
0.533 0.004 0.238 H
0.771 0.096 0.417 H
0.931 0.341 0.320 H
0.060 0.709 0.785 C
0.359 0.370 0.725 C
0.370 0.359 0.225 C
0.709 0.060 0.285 C
0.246 0.568 0.231 S
0.568 0.246 0.731 S
0.781 0.830 0.188 S
0.830 0.781 0.688 S
0.025 0.917 0.288 O
0.050 0.452 0.072 O
0.154 0.211 0.651 O
0.170 0.568 0.378 O
0.211 0.154 0.151 O
0.233 0.791 0.739 O
0.452 0.050 0.572 O
0.568 0.170 0.878 O
0.754 0.851 0.020 O
0.791 0.233 0.239 O
0.851 0.754 0.520 O
0.917 0.025 0.788 O
```

[2]
For SiH12C4O4, DFT lattice parameters and positions (GGA-PBE) gives the theoretical X-ray diffraction stick pattern in this record (Cu Kα X-rays).
Intensities are scaled so that the largest is 100.

The 10 most intense peaks (10 to 80 degrees two-theta), sorted by position:
| d [Å] | I/Imax |
| --- | --- |
| 5.988 | 7 |
| 5.452 | 100 |
| 4.234 | 13 |
| 4.031 | 10 |
| 2.920 | 42 |
| 2.678 | 8 |
| 2.481 | 7 |
| 2.230 | 6 |
| 2.075 | 11 |
| 1.863 | 9 |

Structure:
```
SiH12C4O4
1.0
-5.988 5.988 3.062
5.988 -5.988 3.062
5.988 5.988 -3.062
Si H C O
2 24 8 8
Direct
0.375 0.125 0.250 Si
0.625 0.875 0.750 Si
0.008 0.855 0.848 H
0.028 0.976 0.330 H
0.057 0.137 0.879 H
0.146 0.698 0.170 H
0.198 0.528 0.552 H
0.242 0.822 0.379 H
0.322 0.443 0.580 H
0.340 0.492 0.347 H
0.355 0.008 0.847 H
0.363 0.742 0.920 H
0.476 0.646 0.948 H
0.492 0.840 0.348 H
0.508 0.160 0.652 H
0.524 0.354 0.052 H
0.637 0.258 0.080 H
0.645 0.992 0.153 H
0.660 0.508 0.653 H
0.678 0.557 0.420 H
0.758 0.178 0.621 H
0.802 0.472 0.448 H
0.854 0.302 0.830 H
0.943 0.863 0.121 H
0.972 0.024 0.670 H
0.992 0.145 0.152 H
0.094 0.026 0.227 C
0.299 0.866 0.273 C
0.366 0.594 0.567 C
0.474 0.201 0.067 C
0.526 0.799 0.933 C
0.634 0.406 0.433 C
0.701 0.134 0.727 C
0.906 0.974 0.773 C
0.152 0.222 0.206 O
0.278 0.984 0.929 O
0.445 0.652 0.429 O
0.484 0.055 0.706 O
0.516 0.945 0.294 O
0.555 0.348 0.571 O
0.722 0.016 0.071 O
0.848 0.778 0.794 O
```